The following is a theoretical powder XRD pattern of Rb2MoRu. It was derived from DFT lattice parameters and positions (PBE), using λ = 1.5418 Å (Cu Kα).

Peak list (6 most intense, 10 to 90 degrees two-theta, by angle)
Position (°2θ), d/Å, I/Imax
13.47, 6.574, 100
21.37, 4.158, 37
24.43, 3.644, 36
27.13, 3.287, 47
30.40, 2.940, 77
40.02, 2.253, 32

Lattice parameters (Å, degrees): 9.5823 9.5823 9.5823 93.36 93.36 151.96
Sites, in units of the cell vectors:
Rb: 0.3750 0.1980 0.3230
Rb: 0.8020 0.1250 0.1770
Rb: 0.8750 0.0520 0.6770
Rb: 0.9480 0.6250 0.8230
Mo: 0.2500 0.7500 0.5000
Mo: 0.5000 0.5000 0.0000
Ru: 0.0000 0.0000 0.0000
Ru: 0.7500 0.2500 0.5000